For In2MoF5, a cell relaxed with PBE+U gives the simulated X-ray diffraction stick pattern in this record (Cu Kα (λ = 1.5418 Å)).
Lines closer than 0.1° are merged.

Principal peaks in the range 2θ from 10° to 80°, in order of rising 2θ:
d [Å]	2theta	I (rel.)
3.417	26.1	100.0
3.388	26.3	44.2
3.260	27.4	84.0
3.034	29.4	30.1
2.472	36.3	21.7
2.261	39.9	17.5
2.259	39.9	17.0
1.995	45.5	21.1
1.916	47.4	18.4
1.901	47.9	25.0
1.817	50.2	19.8
1.792	51.0	19.2

Structure:
a = 6.0677 Å, b = 7.9907 Å, c = 8.0279 Å
α = 101.53°, β = 112.19°, γ = 112.27°
Space group P-1 (No. 2)
Unique sites:
In  0.1526  0.4906  0.3347 x2
In  0.3269  0.0100  0.1644 x2
Mo  0.0000  0.0000  0.5000 x1
Mo  0.5000  0.5000  0.0000 x1
F  0.1396  0.2500  0.7502 x2
F  0.1777  0.8785  0.6829 x2
F  0.2674  0.6394  0.9943 x2
F  0.3647  0.1396  0.4928 x2
F  0.3860  0.3786  0.1836 x2